No. 1
Starting from a cell relaxed with PBE, the powder XRD pattern of Li4Al3Zn was calculated for CuKα.
Peak positions follow from Bragg's law for the DFT cell and can differ from measured ones.

Crystal structure
a = 4.3901 Å, b = 4.3901 Å, c = 6.1976 Å
α = 90.00°, β = 90.00°, γ = 90.00°
Space group P-4m2 (No. 115)
Unique sites:
Li1 0.0000 0.0000 0.0000 (multiplicity 1)
Li2 0.0000 0.5000 0.7400 (multiplicity 2)
Li3 0.5000 0.5000 0.5000 (multiplicity 1)
Al1 0.0000 0.5000 0.2575 (multiplicity 2)
Al2 0.5000 0.5000 0.0000 (multiplicity 1)
Zn1 0.0000 0.0000 0.5000 (multiplicity 1)

Top 10 peaks for 15° ≤ 2θ ≤ 90°, most intense first:
41.1 deg, intensity 100, (2 0 0)
24.9 deg, intensity 86, (1 0 1)
48.7 deg, intensity 39, (2 1 1)
75.0 deg, intensity 32, (3 1 2)
65.6 deg, intensity 15, (3 0 1)
20.2 deg, intensity 13, (1 0 0)
59.6 deg, intensity 11, (2 2 0)
89.3 deg, intensity 10, (4 0 0)
28.8 deg, intensity 9, (0 0 2)
80.4 deg, intensity 9, (3 2 1)

No. 2
Starting from a cell relaxed with PBE, the powder XRD pattern of Li4AlZn3 was calculated for CuKα.
Peak positions follow from Bragg's law for the DFT cell and can differ from measured ones.

Crystal structure
a = 4.3350 Å, b = 4.3350 Å, c = 6.1178 Å
α = 90.00°, β = 90.00°, γ = 90.00°
Space group P-4m2 (No. 115)
Unique sites:
Li1 0.0000 0.0000 0.0000 (multiplicity 1)
Li2 0.0000 0.5000 0.7420 (multiplicity 2)
Li3 0.5000 0.5000 0.5000 (multiplicity 1)
Al1 0.5000 0.5000 0.0000 (multiplicity 1)
Zn1 0.0000 0.0000 0.5000 (multiplicity 1)
Zn2 0.0000 0.5000 0.2497 (multiplicity 2)

Top 10 peaks for 15° ≤ 2θ ≤ 90°, most intense first:
41.7 deg, intensity 100, (2 0 0)
25.2 deg, intensity 96, (1 0 1)
49.3 deg, intensity 44, (2 1 1)
76.1 deg, intensity 31, (3 1 2)
66.5 deg, intensity 17, (3 0 1)
60.4 deg, intensity 11, (2 2 0)
81.6 deg, intensity 9, (3 2 1)
20.5 deg, intensity 6, (1 0 0)
60.5 deg, intensity 5, (0 0 4)
29.2 deg, intensity 4, (1 1 0)

No. 3
Starting from a cell relaxed with PBE, the powder XRD pattern of Lu4Al3W2N3 was calculated for CuKα.
Peak positions follow from Bragg's law for the DFT cell and can differ from measured ones.

Crystal structure
a = 9.7375 Å, b = 5.6730 Å, c = 14.1590 Å
α = 90.00°, β = 103.13°, γ = 90.00°
Space group C2/c (No. 15)
Unique sites:
Lu1 0.1149 0.0820 0.0974 (multiplicity 8)
Lu2 0.2170 0.0860 0.4026 (multiplicity 8)
Al1 0.0000 0.1480 0.7500 (multiplicity 4)
Al2 0.1352 0.4489 0.2491 (multiplicity 8)
W1 0.0597 0.4146 0.9220 (multiplicity 8)
N1 0.0822 0.2535 0.5000 (multiplicity 8)
N2 0.2500 0.2500 0.0000 (multiplicity 4)

Top 10 peaks for 15° ≤ 2θ ≤ 90°, most intense first:
37.4 deg, intensity 100, (3 1 -4)
37.2 deg, intensity 52, (0 2 3)
32.4 deg, intensity 30, (3 1 -2)
39.2 deg, intensity 24, (0 0 6)
31.8 deg, intensity 24, (3 1 -1)
56.3 deg, intensity 22, (3 3 -1)
25.8 deg, intensity 21, (0 0 4)
69.8 deg, intensity 19, (6 2 1)
70.7 deg, intensity 17, (3 3 -7)
32.2 deg, intensity 16, (0 2 1)

No. 4
Starting from a cell relaxed with PBE, the powder XRD pattern of Lu3AlNi8 was calculated for CuKα.
Peak positions follow from Bragg's law for the DFT cell and can differ from measured ones.

Crystal structure
a = 4.9813 Å, b = 4.9813 Å, c = 15.8196 Å
α = 90.00°, β = 90.00°, γ = 120.00°
Space group P6_3/mmc (No. 194)
Unique sites:
Lu1 0.3333 0.6667 0.0418 (multiplicity 4)
Lu2 0.3333 0.6667 0.2500 (multiplicity 2)
Al1 0.3333 0.6667 0.7500 (multiplicity 2)
Ni1 0.0000 0.0000 0.0000 (multiplicity 2)
Ni2 0.0000 0.0000 0.2500 (multiplicity 2)
Ni3 0.1663 0.3325 0.6254 (multiplicity 12)

Top 10 peaks for 15° ≤ 2θ ≤ 90°, most intense first:
35.2 deg, intensity 100, (1 0 5)
42.9 deg, intensity 93, (1 1 4)
36.1 deg, intensity 56, (1 1 0)
42.3 deg, intensity 48, (2 0 1)
64.3 deg, intensity 35, (2 1 5)
76.5 deg, intensity 23, (2 2 0)
69.6 deg, intensity 21, (3 0 4)
21.3 deg, intensity 21, (1 0 1)
45.4 deg, intensity 20, (2 0 3)
68.9 deg, intensity 19, (2 0 9)

No. 5
Starting from a cell relaxed with PBE, the powder XRD pattern of Lu2Sc2Al5Ni2 was calculated for CuKα.
Peak positions follow from Bragg's law for the DFT cell and can differ from measured ones.

Crystal structure
a = 6.9786 Å, b = 3.2816 Å, c = 9.0321 Å
α = 90.00°, β = 94.37°, γ = 90.00°
Space group P2/m (No. 10)
Unique sites:
Lu1 0.2372 0.0000 0.4454 (multiplicity 2)
Sc1 0.1675 0.0000 0.8653 (multiplicity 2)
Al1 0.1826 0.5000 0.1524 (multiplicity 2)
Al2 0.4436 0.5000 0.7009 (multiplicity 2)
Al3 0.5000 0.5000 0.0000 (multiplicity 1)
Ni1 0.0677 0.5000 0.6438 (multiplicity 2)

Top 10 peaks for 15° ≤ 2θ ≤ 90°, most intense first:
37.7 deg, intensity 100, (2 1 0)
41.2 deg, intensity 83, (1 0 -4)
36.8 deg, intensity 82, (1 1 2)
33.8 deg, intensity 75, (0 1 2)
41.9 deg, intensity 64, (2 1 -2)
35.7 deg, intensity 62, (1 1 -2)
39.6 deg, intensity 49, (2 1 1)
40.7 deg, intensity 47, (0 1 3)
29.0 deg, intensity 40, (0 1 1)
38.5 deg, intensity 39, (2 1 -1)

No. 6
Starting from a cell relaxed with PBE, the powder XRD pattern of Lu4Al2O9 was calculated for CuKα.
Peak positions follow from Bragg's law for the DFT cell and can differ from measured ones.

Crystal structure
a = 7.1384 Å, b = 10.2358 Å, c = 10.9709 Å
α = 90.00°, β = 107.99°, γ = 90.00°
Space group P2_1/c (No. 14)
Unique sites:
Lu1 0.0218 0.1014 0.3040 (multiplicity 4)
Lu2 0.1607 0.6201 0.5832 (multiplicity 4)
Lu3 0.3425 0.1269 0.9411 (multiplicity 4)
Lu4 0.4782 0.6145 0.2169 (multiplicity 4)
Al1 0.2131 0.1735 0.6271 (multiplicity 4)
Al2 0.3441 0.6703 0.8908 (multiplicity 4)
O1 0.0676 0.2337 0.4797 (multiplicity 4)
O2 0.0783 0.5087 0.3926 (multiplicity 4)
O3 0.2032 0.7467 0.2531 (multiplicity 4)
O4 0.2107 0.0060 0.6496 (multiplicity 4)
O5 0.2310 0.2456 0.2720 (multiplicity 4)
O6 0.3093 0.5054 0.8483 (multiplicity 4)
O7 0.3641 0.7329 0.0427 (multiplicity 4)
O8 0.4331 0.2409 0.6147 (multiplicity 4)
O9 0.4372 0.5070 0.6103 (multiplicity 4)

Top 10 peaks for 15° ≤ 2θ ≤ 90°, most intense first:
30.5 deg, intensity 100, (2 2 -1)
31.1 deg, intensity 62, (0 2 3)
19.1 deg, intensity 35, (0 1 2)
31.3 deg, intensity 33, (0 3 2)
27.1 deg, intensity 20, (0 1 3)
35.1 deg, intensity 18, (0 4 0)
50.9 deg, intensity 18, (2 4 2)
35.7 deg, intensity 17, (2 0 2)
51.4 deg, intensity 17, (2 4 -4)
36.4 deg, intensity 16, (2 0 -4)

No. 7
Starting from a cell relaxed with PBE, the powder XRD pattern of Lu10Al3Pt was calculated for CuKα.
Peak positions follow from Bragg's law for the DFT cell and can differ from measured ones.

Crystal structure
a = 9.3660 Å, b = 9.3660 Å, c = 9.3915 Å
α = 90.00°, β = 90.00°, γ = 120.00°
Space group P6_3/mmc (No. 194)
Unique sites:
Lu1 0.0000 0.0000 0.0000 (multiplicity 2)
Lu2 0.0840 0.5420 0.2500 (multiplicity 6)
Lu3 0.2058 0.4117 0.5556 (multiplicity 12)
Al1 0.1122 0.2244 0.2500 (multiplicity 6)
Pt1 0.3333 0.6667 0.7500 (multiplicity 2)

Top 10 peaks for 15° ≤ 2θ ≤ 90°, most intense first:
35.0 deg, intensity 100, (2 1 2)
29.1 deg, intensity 47, (2 1 0)
30.7 deg, intensity 46, (1 0 3)
34.5 deg, intensity 40, (3 0 1)
36.3 deg, intensity 35, (2 0 3)
57.6 deg, intensity 26, (3 2 3)
60.0 deg, intensity 24, (3 0 5)
60.4 deg, intensity 24, (5 0 2)
38.4 deg, intensity 23, (2 2 0)
21.9 deg, intensity 23, (1 0 2)

No. 8
Starting from a cell relaxed with PBE, the powder XRD pattern of LuSc2Al was calculated for CuKα.
Peak positions follow from Bragg's law for the DFT cell and can differ from measured ones.

Crystal structure
a = 7.1377 Å, b = 7.1377 Å, c = 7.1377 Å
α = 90.00°, β = 90.00°, γ = 90.00°
Space group F-43m (No. 216)
Unique sites:
Lu1 0.0000 0.0000 0.0000 (multiplicity 4)
Sc1 0.0000 0.0000 0.5000 (multiplicity 4)
Sc2 0.2500 0.2500 0.2500 (multiplicity 4)
Al1 0.2500 0.2500 0.7500 (multiplicity 4)

Top 10 peaks for 15° ≤ 2θ ≤ 90°, most intense first:
35.6 deg, intensity 100, (2 2 0)
21.6 deg, intensity 46, (1 1 1)
63.9 deg, intensity 35, (4 2 2)
25.0 deg, intensity 31, (2 0 0)
42.0 deg, intensity 26, (3 1 1)
51.2 deg, intensity 17, (4 0 0)
86.2 deg, intensity 15, (6 2 0)
57.8 deg, intensity 13, (4 2 0)
56.2 deg, intensity 11, (3 3 1)
75.3 deg, intensity 11, (4 4 0)